Starting from a structure optimized by DFT (PBE), the X-ray powder pattern of HoBe3Au10 was simulated for Cu Kα, 1.54184 Å.

Principal peaks in the range 5 to 70 degrees two-theta, low angle first:
28.79 deg, I 13, hkl 4 0 0
32.28 deg, I 42, hkl 4 2 0
35.46 deg, I 21, hkl 4 2 2
37.68 deg, I 100, hkl 3 3 3
41.17 deg, I 15, hkl 4 4 0
43.15 deg, I 46, hkl 5 3 1
61.67 deg, I 15, hkl 6 4 4
63.66 deg, I 27, hkl 6 6 0
65.13 deg, I 13, hkl 5 5 5
68.98 deg, I 14, hkl 9 1 1

Cell and atoms:
Cell lengths 12.4034, 12.4034, 12.4034 Å; angles 90.00, 90.00, 90.00 degrees
Space group Fm-3m (No. 225)
Unique sites:
Ho 0.2500 0.2500 0.2500
Be 0.0000 0.0000 0.2358
Au 0.0000 0.1694 0.3306
Au 0.1145 0.1145 0.1145

Starting from a structure optimized by DFT (PBE), the X-ray powder pattern of BeAuI4 was simulated for Cu Kα, 1.54184 Å.

Principal peaks in the range 5 to 70 degrees two-theta, low angle first:
12.54 deg, I 42, hkl 0 0 4
21.98 deg, I 12, hkl 1 0 5
22.59 deg, I 25, hkl 1 1 2
25.13 deg, I 100, hkl 1 1 4
34.76 deg, I 14, hkl 1 2 1
35.94 deg, I 12, hkl 2 1 3
40.27 deg, I 52, hkl 2 0 8
44.20 deg, I 20, hkl 2 2 0
44.39 deg, I 17, hkl 1 1 12
51.53 deg, I 24, hkl 3 1 4

Cell and atoms:
Cell lengths 5.7954, 5.7954, 28.2391 Å; angles 90.00, 90.00, 90.00 degrees
Space group I4_1/a (No. 88, origin choice 2)
Unique sites:
Be 0.0000 0.2500 0.1250
Au 0.0000 0.2500 0.6250
I 0.2231 0.0267 0.1812